[1]
Computed X-ray powder pattern of TbTm2Zn6 for a wavelength of 1.5418 Å, from DFT lattice parameters and positions (PBE).
No peak broadening, texture or thermal motion is included.

Structure:
Unit cell a=7.718 b=7.718 c=3.463 alpha=90.00 beta=90.00 gamma=120.00
Fractional coordinates of all 9 atoms:
Tb 0.000 0.000 0.000
Tm 0.333 0.667 0.000
Tm 0.667 0.333 0.000
Zn 0.000 0.335 0.500
Zn 0.000 0.665 0.500
Zn 0.335 0.000 0.500
Zn 0.335 0.335 0.500
Zn 0.665 0.000 0.500
Zn 0.665 0.665 0.500

Principal peaks in the range 2θ = 10–90°, in order of falling intensity:
| d [Å] | two_theta | I (rel.) |
| --- | --- | --- |
| 2.577 | 34.81 | 1000 |
| 2.228 | 40.49 | 559 |
| 1.685 | 54.44 | 276 |
| 1.344 | 70.00 | 256 |
| 1.367 | 68.65 | 226 |
| 3.859 | 23.05 | 218 |
| 1.286 | 73.65 | 92 |
| 1.731 | 52.88 | 85 |
| 1.106 | 88.39 | 70 |
| 1.114 | 87.59 | 59 |


[2]
Computed X-ray powder pattern of La3In8Ag3 for a wavelength of 1.5418 Å, from DFT lattice parameters and positions (PBE).
No peak broadening, texture or thermal motion is included.

Structure:
Unit cell a=9.073 b=9.073 c=9.073 alpha=148.83 beta=110.11 gamma=78.49
Fractional coordinates of all 14 atoms:
La 0.000 0.000 0.000
La 0.296 0.296 0.000
La 0.704 0.704 0.000
In 0.011 0.649 0.362
In 0.156 0.863 0.293
In 0.287 0.649 0.638
In 0.429 0.137 0.293
In 0.571 0.863 0.707
In 0.713 0.351 0.362
In 0.844 0.137 0.707
In 0.989 0.351 0.638
Ag 0.336 0.500 0.836
Ag 0.500 0.000 0.500
Ag 0.664 0.500 0.164

Principal peaks in the range 2θ = 10–90°, in order of falling intensity:
| d [Å] | two_theta | I (rel.) |
| --- | --- | --- |
| 2.829 | 31.62 | 1000 |
| 2.437 | 36.88 | 514 |
| 2.749 | 32.58 | 346 |
| 2.620 | 34.22 | 284 |
| 2.201 | 41.01 | 260 |
| 2.910 | 30.72 | 259 |
| 2.263 | 39.83 | 258 |
| 1.510 | 61.38 | 224 |
| 2.342 | 38.44 | 172 |
| 2.785 | 32.14 | 142 |


[3]
Computed X-ray powder pattern of PmPr14In for a wavelength of 1.5418 Å, from DFT lattice parameters and positions (PBE).
No peak broadening, texture or thermal motion is included.

Structure:
Unit cell a=10.382 b=7.332 c=7.332 alpha=89.99 beta=90.00 gamma=90.00
Fractional coordinates of all 16 atoms:
Pm 0.000 0.000 0.000
Pr 0.000 0.500 0.999
Pr 0.000 0.999 0.500
Pr 0.244 0.253 0.253
Pr 0.244 0.253 0.746
Pr 0.244 0.746 0.253
Pr 0.244 0.746 0.746
Pr 0.500 0.000 0.500
Pr 0.500 0.500 0.000
Pr 0.500 0.500 0.500
Pr 0.500 0.999 0.999
Pr 0.756 0.253 0.253
Pr 0.756 0.253 0.746
Pr 0.756 0.746 0.253
Pr 0.756 0.746 0.746
In 0.000 0.499 0.499

Principal peaks in the range 2θ = 10–90°, in order of falling intensity:
| d [Å] | two_theta | I (rel.) |
| --- | --- | --- |
| 2.994 | 29.84 | 1000 |
| 2.593 | 34.59 | 506 |
| 1.564 | 59.07 | 427 |
| 1.834 | 49.72 | 360 |
| 1.190 | 80.77 | 172 |
| 1.497 | 61.98 | 123 |
| 1.160 | 83.30 | 105 |
| 1.159 | 83.37 | 54 |
| 1.296 | 73.00 | 38 |
| 1.298 | 72.89 | 18 |